Simulated powder diffraction line list
Compound: Li2CoHgF8
Radiation: copper Kα
Structure: DFT lattice parameters and positions (GGA+U)
No peak broadening, texture or thermal motion is included.

The 10 most intense peaks (10 to 90 degrees two-theta), in order of rising 2θ:
two_theta, I (rel.)
12.87, 18
19.05, 100
23.06, 24
25.92, 27
26.73, 28
27.41, 27
32.36, 45
38.08, 38
42.99, 20
51.68, 20

Structure:
```
data_Li2CoHgF8
_cell_length_a 4.653
_cell_length_b 4.666
_cell_length_c 6.876
_cell_angle_alpha 89.94
_cell_angle_beta 89.94
_cell_angle_gamma 88.58
_space_group_name_H-M_alt 'P -1'
_space_group_IT_number 2
_space_group_name_Hall '-P 1'
loop_
_atom_site_label
_atom_site_fract_x
_atom_site_fract_y
_atom_site_fract_z
Li1 0.000 0.000 0.245
Co1 0.500 0.500 0.500
Hg1 0.500 0.500 0.000
F1 0.184 0.182 0.000
F2 0.234 0.230 0.500
F3 0.302 0.694 0.310
F4 0.302 0.694 0.690
```